For YTh2Au6, DFT lattice parameters and positions (GGA-PBE) gives the computed powder X-ray diffraction pattern in this record (Cu Kα X-rays).

Cell and atoms:
```
9
Lattice="8.292 0.000 0.000 -4.146 7.181 0.000 0.000 0.000 3.438" Properties=species:S:1:pos:R:3 pbc="T T T"
Y 0.000 0.000 0.000
Th 0.000 4.787 0.000
Th 4.146 2.394 0.000
Au -1.376 2.382 1.719
Au -2.770 4.798 1.719
Au 2.751 0.000 1.719
Au 1.376 2.382 1.719
Au 5.541 0.000 1.719
Au 2.770 4.798 1.719
```

Main lines, most intense first (10° ≤ 2θ ≤ 90°):
Position (°2θ)  Rel. int.
33.87  1000
37.58  883
67.03  332
51.48  311
65.46  305
67.81  160
46.21  142
89.98  140